Simulated XRD peak list
Compound: In3NF10
Radiation: λ = 1.5418 Å (Cu Kα)
Structure: a DFT-relaxed cell (GGA-PBE, Alexandria)
Neutral-atom scattering factors, no anomalous dispersion.

a = 8.1190 Å, b = 8.1969 Å, c = 6.7009 Å
α = 90.00°, β = 90.00°, γ = 90.00°
Positions (direct):
In (0.0000, 0.0000, 0.0000)
In (0.0000, 0.2578, 0.5000)
In (0.0000, 0.7422, 0.5000)
In (0.5000, 0.0000, 0.0000)
In (0.5000, 0.2578, 0.5000)
In (0.5000, 0.7422, 0.5000)
N (0.2500, 0.5000, 0.2457)
N (0.7500, 0.5000, 0.7543)
F (0.0000, 0.0000, 0.5000)
F (0.0395, 0.5000, 0.3200)
F (0.0530, 0.1933, 0.1995)
F (0.0530, 0.8067, 0.1995)
F (0.2500, 0.0000, 0.9090)
F (0.2500, 0.2876, 0.5708)
F (0.2500, 0.7124, 0.5708)
F (0.4470, 0.1933, 0.1995)
F (0.4470, 0.8067, 0.1995)
F (0.4605, 0.5000, 0.3200)
F (0.5000, 0.0000, 0.5000)
F (0.5395, 0.5000, 0.6800)
F (0.5530, 0.1933, 0.8005)
F (0.5530, 0.8067, 0.8005)
F (0.7500, 0.0000, 0.0910)
F (0.7500, 0.2876, 0.4292)
F (0.7500, 0.7124, 0.4292)
F (0.9470, 0.1933, 0.8005)
F (0.9470, 0.8067, 0.8005)
F (0.9605, 0.5000, 0.6800)

Main lines, by angle (10 to 90 degrees two-theta):
2θ 10.79, d = 8.197 Å, rel. 36, (0 1 0); 2θ 13.21, d = 6.701 Å, rel. 44, (0 0 1); 2θ 17.09, d = 5.188 Å, rel. 58, (0 1 1); 2θ 21.89, d = 4.059 Å, rel. 97, (2 0 0); 2θ 25.48, d = 3.496 Å, rel. 100, (0 2 1); 2θ 26.61, d = 3.350 Å, rel. 34, (0 0 2); 2θ 33.84, d = 2.649 Å, rel. 51, (2 2 1); 2θ 34.72, d = 2.584 Å, rel. 29, (2 0 2); 2θ 44.64, d = 2.030 Å, rel. 21, (4 0 0); 2θ 46.30, d = 1.961 Å, rel. 32, (0 2 3); 2θ 51.77, d = 1.766 Å, rel. 41, (2 2 3); 2θ 52.10, d = 1.755 Å, rel. 31, (4 2 1)